Record 1
Starting from a crystal structure in the Materials Project, relaxed with GGA+U, the powder diffractogram of NaFe3H6S2O14 was computed for λ = 1.5418 Å (Cu Kα).
Neutral-atom scattering factors, no anomalous dispersion.

```
26
Lattice="3.706 2.140 5.581 -3.706 2.140 5.581 0.000 -4.279 5.581" Properties=species:S:1:pos:R:3 pbc="T T T"
Na 0.000 0.000 0.000
Fe -3.706 0.000 8.372
Fe -1.853 1.070 2.791
Fe 1.853 1.070 2.791
H -1.524 -0.880 9.327
H 0.000 -1.760 7.417
H -1.524 0.880 7.417
H 1.524 -0.880 9.327
H 0.000 1.760 9.327
H 1.524 0.880 7.417
S 0.000 0.000 5.238
S 0.000 0.000 11.505
O -2.314 -1.336 8.954
O 0.000 -1.410 4.739
O -1.221 0.705 4.739
O 0.000 -2.672 7.789
O -2.314 1.336 7.789
O 0.000 0.000 6.716
O -1.221 -0.705 12.004
O 1.221 0.705 4.739
O 0.000 0.000 10.027
O 2.314 -1.336 8.954
O 0.000 2.672 8.954
O 1.221 -0.705 12.004
O 0.000 1.410 12.004
O 2.314 1.336 7.789
```

Principal peaks in the range 2θ = 5–70°, in order of rising 2θ:
Position (°2θ), I/Imax
14.8, 17
15.9, 28
17.4, 75
28.3, 96
28.9, 100
32.1, 19
35.2, 23
40.2, 34
45.4, 35
49.2, 39
59.9, 20
62.6, 22

Record 2
Starting from a crystal structure in the Materials Project, relaxed with GGA+U, the powder diffractogram of V4O3F9 was computed for λ = 1.5418 Å (Cu Kα).
Neutral-atom scattering factors, no anomalous dispersion.

```
32
Lattice="5.228 0.000 0.000 2.604 4.744 0.000 2.553 -1.176 17.256" Properties=species:S:1:pos:R:3 pbc="T T T"
V 0.000 0.000 0.000
V 2.538 1.684 8.639
V 5.215 3.542 10.719
V 2.797 1.561 2.144
V 5.000 0.272 12.893
V 5.159 3.156 4.271
V 7.604 2.013 15.125
V 5.280 0.145 6.588
O 2.950 0.121 9.719
O 3.693 -0.561 12.235
O 6.313 2.832 15.801
O 3.845 2.348 3.592
O 4.065 0.722 1.438
O 6.218 0.781 7.833
F 4.058 1.050 14.415
F 1.517 1.019 0.700
F 4.133 2.656 9.315
F 4.149 3.843 5.814
F 3.120 3.219 1.110
F 4.720 1.933 11.860
F 2.165 0.098 3.296
F 3.624 1.079 7.115
F 6.669 1.239 13.581
F 6.740 4.158 5.066
F 6.744 2.434 10.142
F 8.249 3.528 14.031
F 5.745 1.625 5.353
F 7.284 3.305 7.575
F 7.275 0.330 16.101
F 6.226 -0.377 11.479
F 8.854 2.542 16.571
F 6.423 2.595 2.873
```

Principal peaks in the range 2θ = 5–70°, in order of rising 2θ:
Position (°2θ), I/Imax
23.5, 99
23.6, 99
23.7, 100
33.1, 39
39.7, 24
39.9, 14
48.1, 22
48.3, 21
48.6, 20
53.6, 24
53.8, 24
54.0, 13

Record 3
Starting from a crystal structure in the Materials Project, relaxed with GGA+U, the powder diffractogram of MgMn4Zn2O8 was computed for λ = 1.5418 Å (Cu Kα).
Neutral-atom scattering factors, no anomalous dispersion.

```
15
Lattice="5.888 0.000 0.000 -2.900 5.312 0.000 -0.043 -3.160 5.388" Properties=species:S:1:pos:R:3 pbc="T T T"
Mg 0.000 0.000 0.000
Mn -1.450 2.656 0.000
Mn -0.062 0.192 2.518
Mn 2.944 0.000 0.000
Mn 3.006 1.959 2.870
Zn 2.922 -1.580 2.694
Zn 1.494 2.656 0.000
O -0.094 1.815 1.156
O 1.492 -0.714 1.315
O 1.504 -2.389 4.111
O -0.073 0.437 4.481
O 3.018 1.714 0.907
O 1.441 4.541 1.278
O 1.453 2.866 4.073
O 3.039 0.337 4.232
```

Principal peaks in the range 2θ = 5–70°, in order of rising 2θ:
Position (°2θ), I/Imax
29.4, 37
33.0, 38
33.1, 53
33.3, 74
34.7, 100
35.0, 42
39.3, 59
42.1, 52
42.4, 45
57.0, 49
60.9, 37
61.5, 41

Record 4
Starting from a crystal structure in the Materials Project, relaxed with GGA+U, the powder diffractogram of VCuAgO4 was computed for λ = 1.5418 Å (Cu Kα).
Neutral-atom scattering factors, no anomalous dispersion.

```
28
Lattice="9.287 0.000 0.000 0.000 6.928 0.000 0.000 0.000 5.442" Properties=species:S:1:pos:R:3 pbc="T T T"
V 1.766 1.732 0.378
V 2.877 5.196 3.099
V 6.410 1.732 2.344
V 7.521 5.196 5.065
Cu 0.000 0.000 2.721
Cu 0.000 3.464 2.721
Cu 4.644 0.000 0.000
Cu 4.644 3.464 0.000
Ag 1.284 5.196 0.147
Ag 3.359 1.732 2.868
Ag 5.928 5.196 2.574
Ag 8.003 1.732 5.295
O 1.023 5.196 3.171
O 1.160 0.318 1.216
O 1.160 3.146 1.216
O 1.215 1.732 4.201
O 3.429 5.196 1.480
O 3.484 3.782 3.937
O 3.484 6.610 3.937
O 3.620 1.732 0.450
O 5.667 5.196 4.993
O 5.803 0.318 1.505
O 5.803 3.146 1.505
O 5.859 1.732 3.963
O 8.072 5.196 1.241
O 8.128 3.782 4.226
O 8.128 6.610 4.226
O 8.264 1.732 2.272
```

Principal peaks in the range 2θ = 5–70°, in order of rising 2θ:
Position (°2θ), I/Imax
23.1, 24
25.7, 21
32.1, 100
32.2, 36
32.9, 32
33.3, 91
40.6, 33
46.7, 19
47.1, 24
52.9, 21
58.7, 26
63.9, 24